No. 1
Calculated powder X-ray diffraction pattern of LiLaNb4O12 for Cu Kα, from a crystal structure in the Materials Project, relaxed with PBE.
Neutral-atom scattering factors, no anomalous dispersion.

Crystal structure
a b c (Å): 8.9629 8.9629 8.9629
angles (deg): 143.46 143.46 52.64
Positions (direct):
Li1 0.0000 0.0000 0.0000
La1 0.5000 0.5000 0.0000
Nb1 0.1292 0.6292 0.5000
Nb2 0.3708 0.8708 0.5000
Nb3 0.6292 0.1292 0.5000
Nb4 0.8708 0.3708 0.5000
O1 0.0000 0.5000 0.5000
O2 0.1414 0.1414 0.5116
O3 0.1414 0.6298 0.0000
O4 0.2500 0.7500 0.5000
O5 0.3702 0.3702 0.5116
O6 0.3702 0.8586 0.0000
O7 0.5000 0.0000 0.5000
O8 0.6298 0.1414 0.0000
O9 0.6298 0.6298 0.4884
O10 0.7500 0.2500 0.5000
O11 0.8586 0.3702 0.0000
O12 0.8586 0.8586 0.4884

Main lines, low angle first (10 to 90 degrees two-theta):
2θ (°)  I (rel.)
16.7  42.1
22.4  59.2
31.7  100.0
31.8  49.9
45.7  43.2
56.6  39.4



No. 2
Calculated powder X-ray diffraction pattern of LiLaNb4O12 for Cu Kα, from a crystal structure in the Materials Project, relaxed with PBE.
Neutral-atom scattering factors, no anomalous dispersion.

Crystal structure
a b c (Å): 5.6231 5.6231 8.0309
angles (deg): 90.00 90.00 90.00
Positions (direct):
Li1 0.0000 0.0000 0.0000
La1 0.5000 0.5000 0.0000
Nb1 0.0000 0.5000 0.2575
Nb2 0.0000 0.5000 0.7425
Nb3 0.5000 0.0000 0.2575
Nb4 0.5000 0.0000 0.7425
O1 0.0000 0.5000 0.0000
O2 0.0000 0.5000 0.5000
O3 0.2559 0.2559 0.2275
O4 0.2559 0.2559 0.7725
O5 0.2559 0.7441 0.2275
O6 0.2559 0.7441 0.7725
O7 0.5000 0.0000 0.0000
O8 0.5000 0.0000 0.5000
O9 0.7441 0.2559 0.2275
O10 0.7441 0.2559 0.7725
O11 0.7441 0.7441 0.2275
O12 0.7441 0.7441 0.7725

Main lines, low angle first (10 to 90 degrees two-theta):
2θ (°)  I (rel.)
11.0  30.7
22.4  59.1
31.7  100.0
31.8  49.8
45.6  43.2
56.6  39.4



No. 3
Calculated powder X-ray diffraction pattern of Li2La3Ti2Nb2O13 for Cu Kα, from a crystal structure in the Materials Project, relaxed with PBE.
Neutral-atom scattering factors, no anomalous dispersion.

Crystal structure
a b c (Å): 17.0799 17.0799 17.0799
angles (deg): 166.53 166.53 19.09
Positions (direct):
Li1 0.2500 0.7500 0.5000
Li2 0.7500 0.2500 0.5000
La1 0.0000 0.0000 0.0000
La2 0.1194 0.1194 0.0000
La3 0.8806 0.8806 0.0000
Ti1 0.4417 0.4417 0.0000
Ti2 0.5583 0.5583 0.0000
Nb1 0.3202 0.3202 0.0000
Nb2 0.6798 0.6798 0.0000
O1 0.0581 0.5581 0.5000
O2 0.1707 0.6707 0.5000
O3 0.2637 0.2637 0.0000
O4 0.3293 0.8293 0.5000
O5 0.3833 0.3833 0.0000
O6 0.4419 0.9419 0.5000
O7 0.5000 0.5000 0.0000
O8 0.5581 0.0581 0.5000
O9 0.6167 0.6167 0.0000
O10 0.6707 0.1707 0.5000
O11 0.7363 0.7363 0.0000
O12 0.8293 0.3293 0.5000
O13 0.9419 0.4419 0.5000

Main lines, low angle first (10 to 90 degrees two-theta):
2θ (°)  I (rel.)
25.9  30.2
29.0  59.1
31.6  75.5
32.7  100.0
45.3  55.7
57.0  41.7